The following is a simulated X-ray diffraction stick pattern of AcZn2AsO6. It was derived from a DFT-relaxed cell (PBE, Alexandria), using a wavelength of 1.5418 Å.
Peak positions follow from Bragg's law for the DFT cell and can differ from measured ones.

Principal peaks in the range 10° ≤ 2θ ≤ 90°, by angle:
- 16.20 deg, intensity 36
- 18.55 deg, intensity 33
- 23.83 deg, intensity 23
- 26.51 deg, intensity 100
- 29.01 deg, intensity 19
- 29.56 deg, intensity 33
- 29.83 deg, intensity 37
- 31.21 deg, intensity 27
- 32.73 deg, intensity 53
- 33.94 deg, intensity 32
- 47.37 deg, intensity 25
- 56.24 deg, intensity 24

Atomic structure:
abc: 11.241 9.461 6.735
angles: 90.00 121.68 90.00
Space group C2/c (No. 15)
Asymmetric unit:
Ac: 0.000 0.206 0.250
Zn: 0.190 0.468 0.162
As: 0.000 0.184 0.750
O: 0.099 0.080 0.681
O: 0.099 0.279 0.000
O: 0.171 0.406 0.422

***

The following is a simulated X-ray diffraction stick pattern of Pm3Mg3In2. It was derived from a DFT-relaxed cell (PBE, Alexandria), using a wavelength of 1.5418 Å.
Peak positions follow from Bragg's law for the DFT cell and can differ from measured ones.

Principal peaks in the range 10° ≤ 2θ ≤ 90°, by angle:
- 17.54 deg, intensity 20
- 27.51 deg, intensity 13
- 32.81 deg, intensity 100
- 35.51 deg, intensity 20
- 35.65 deg, intensity 20
- 42.67 deg, intensity 12
- 51.20 deg, intensity 14
- 56.73 deg, intensity 20
- 62.07 deg, intensity 16
- 62.25 deg, intensity 15
- 68.79 deg, intensity 11
- 71.89 deg, intensity 10

Atomic structure:
abc: 5.037 5.056 8.475
angles: 90.00 90.00 90.00
Space group Pmmm (No. 47)
Asymmetric unit:
Pm: 0.000 0.000 0.000
Pm: 0.000 0.000 0.500
Pm: 0.500 0.500 0.000
Mg: 0.000 0.500 0.264
Mg: 0.500 0.500 0.500
In: 0.500 0.000 0.259

***

The following is a simulated X-ray diffraction stick pattern of AlS4Br. It was derived from a DFT-relaxed cell (PBE, Alexandria), using a wavelength of 1.5418 Å.
Peak positions follow from Bragg's law for the DFT cell and can differ from measured ones.

Principal peaks in the range 10° ≤ 2θ ≤ 90°, by angle:
- 11.72 deg, intensity 100
- 21.98 deg, intensity 11
- 22.84 deg, intensity 15
- 27.08 deg, intensity 29
- 27.67 deg, intensity 57
- 31.07 deg, intensity 24
- 31.93 deg, intensity 14
- 36.69 deg, intensity 56
- 37.25 deg, intensity 16
- 48.19 deg, intensity 12
- 49.86 deg, intensity 14
- 54.64 deg, intensity 16

Atomic structure:
abc: 5.272 30.214 4.346
angles: 90.00 105.02 90.00
Space group C2/c (No. 15)
Asymmetric unit:
Al: 0.000 0.126 0.250
S: 0.111 0.064 0.595
S: 0.111 0.189 0.595
Br: 0.000 0.374 0.750

***

The following is a simulated X-ray diffraction stick pattern of ReHg. It was derived from a DFT-relaxed cell (PBE, Alexandria), using a wavelength of 1.5418 Å.
Peak positions follow from Bragg's law for the DFT cell and can differ from measured ones.

Principal peaks in the range 10° ≤ 2θ ≤ 90°, by angle:
- 26.71 deg, intensity 7
- 35.67 deg, intensity 25
- 35.88 deg, intensity 23
- 40.10 deg, intensity 100
- 45.12 deg, intensity 8
- 51.49 deg, intensity 13
- 58.94 deg, intensity 11
- 64.07 deg, intensity 19
- 67.32 deg, intensity 11
- 75.67 deg, intensity 17
- 76.62 deg, intensity 7
- 78.34 deg, intensity 15

Atomic structure:
abc: 2.9066 2.9066 10.0120
angles: 90.00 90.00 120.00
Space group P-3m1 (No. 164)
Asymmetric unit:
Re: 0.3333 0.6667 0.3994
Hg: 0.3333 0.6667 0.8545

***

The following is a simulated X-ray diffraction stick pattern of Cu7Au2. It was derived from a DFT-relaxed cell (PBE, Alexandria), using a wavelength of 1.5418 Å.
Peak positions follow from Bragg's law for the DFT cell and can differ from measured ones.

Principal peaks in the range 10° ≤ 2θ ≤ 90°, by angle:
- 23.27 deg, intensity 10
- 28.66 deg, intensity 12
- 32.12 deg, intensity 15
- 37.16 deg, intensity 40
- 38.00 deg, intensity 25
- 40.10 deg, intensity 20
- 43.28 deg, intensity 100
- 43.68 deg, intensity 9
- 47.61 deg, intensity 10
- 67.54 deg, intensity 10
- 71.23 deg, intensity 16
- 79.17 deg, intensity 15

Atomic structure:
abc: 4.8394 4.8394 37.3027
angles: 90.00 90.00 120.00
Space group R-3m (No. 166, hexagonal axes)
Asymmetric unit:
Cu: 0.0000 0.0000 0.0000
Cu: 0.0000 0.0000 0.1113
Cu: 0.0000 0.0000 0.2218
Cu: 0.0000 0.5000 0.5000
Cu: 0.0014 0.5007 0.3883
Au: 0.0000 0.0000 0.3460
Au: 0.0000 0.0000 0.4300

***

The following is a simulated X-ray diffraction stick pattern of Pr5Y2Mg. It was derived from a DFT-relaxed cell (PBE, Alexandria), using a wavelength of 1.5418 Å.
Peak positions follow from Bragg's law for the DFT cell and can differ from measured ones.

Principal peaks in the range 10° ≤ 2θ ≤ 90°, by angle:
- 15.88 deg, intensity 7
- 28.04 deg, intensity 24
- 30.88 deg, intensity 25
- 32.09 deg, intensity 100
- 42.19 deg, intensity 16
- 49.61 deg, intensity 19
- 55.69 deg, intensity 20
- 59.59 deg, intensity 22
- 60.32 deg, intensity 16
- 77.78 deg, intensity 7
- 81.75 deg, intensity 8
- 85.35 deg, intensity 8

Atomic structure:
abc: 7.355 11.583 12.722
angles: 90.00 90.00 90.00
Space group Fmm2 (No. 42)
Asymmetric unit:
Pr: 0.000 0.000 0.000
Pr: 0.238 0.000 0.241
Pr: 0.250 0.250 0.409
Y: 0.000 0.241 0.656
Mg: 0.000 0.000 0.495